Starting from a structure optimized by DFT (PBE+U), the PXRD pattern of CsMgMnP3HO10 was calculated for copper Kα.
Peak positions follow from Bragg's law for the DFT cell and can differ from measured ones.

Main lines, low angle first (2θ from 15° to 90°):
2θ = 17.00°, 5.215 Å, intensity 64; 2θ = 20.09°, 4.420 Å, intensity 100; 2θ = 21.04°, 4.222 Å, intensity 71; 2θ = 23.04°, 3.860 Å, intensity 35; 2θ = 26.24°, 3.396 Å, intensity 59; 2θ = 26.62°, 3.348 Å, intensity 63; 2θ = 28.53°, 3.129 Å, intensity 65; 2θ = 29.87°, 2.991 Å, intensity 56

Cell and atoms:
```
CsMgMnP3HO10
1.0
6.5745 0.0000 0.0000
-1.9062 6.6576 0.0000
-1.9455 -1.4082 6.6158
Cs Mg Mn P H O
1 1 1 3 1 10
Direct
0.0000 0.0000 0.0000 Cs
0.0191 0.6460 0.3460 Mg
0.5038 0.2543 0.7602 Mn
0.0056 0.3579 0.6591 P
0.4062 0.7035 0.6864 P
0.6035 0.3215 0.3125 P
0.5356 0.6146 0.3940 H
0.1443 0.6011 0.7007 O
0.1531 0.2255 0.6771 O
0.3453 0.6519 0.4507 O
0.4541 0.2131 0.4206 O
0.4666 0.9295 0.7695 O
0.5488 0.2489 0.0899 O
0.5545 0.5921 0.7962 O
0.6663 0.5676 0.3669 O
0.8516 0.3329 0.7831 O
0.8672 0.3207 0.4150 O
```

Starting from a structure optimized by DFT (PBE+U), the PXRD pattern of LiMn4O8 was calculated for copper Kα.
Peak positions follow from Bragg's law for the DFT cell and can differ from measured ones.

Main lines, low angle first (2θ from 15° to 90°):
2θ = 18.41°, 4.819 Å, intensity 100; 2θ = 35.68°, 2.517 Å, intensity 39; 2θ = 37.32°, 2.409 Å, intensity 10; 2θ = 43.36°, 2.087 Å, intensity 51; 2θ = 47.48°, 1.915 Å, intensity 9; 2θ = 57.36°, 1.606 Å, intensity 18; 2θ = 63.00°, 1.475 Å, intensity 28; 2θ = 66.24°, 1.411 Å, intensity 13

Cell and atoms:
```
LiMn4O8
1.0
8.3467 0.0000 0.0000
0.0000 8.3467 0.0000
0.0000 0.0000 8.3467
Li Mn O
4 16 32
Direct
0.0049 0.0049 0.0049 Li
0.4951 0.9951 0.5049 Li
0.5049 0.4951 0.9951 Li
0.9951 0.5049 0.4951 Li
0.1189 0.1283 0.6263 Mn
0.1233 0.8767 0.3767 Mn
0.1263 0.3811 0.8717 Mn
0.1283 0.6263 0.1189 Mn
0.3717 0.3737 0.6189 Mn
0.3737 0.6189 0.3717 Mn
0.3767 0.1233 0.8767 Mn
0.3811 0.8717 0.1263 Mn
0.6189 0.3717 0.3737 Mn
0.6233 0.6233 0.6233 Mn
0.6263 0.1189 0.1283 Mn
0.6283 0.8737 0.8811 Mn
0.8717 0.1263 0.3811 Mn
0.8737 0.8811 0.6283 Mn
0.8767 0.3767 0.1233 Mn
0.8811 0.6283 0.8737 Mn
0.1024 0.1180 0.3963 O
0.1037 0.8976 0.6180 O
0.1142 0.6142 0.8858 O
0.1180 0.3963 0.1024 O
0.1333 0.1461 0.8604 O
0.1361 0.3639 0.6361 O
0.1396 0.6333 0.3539 O
0.1461 0.8604 0.1333 O
0.3539 0.1396 0.6333 O
0.3604 0.3667 0.8539 O
0.3639 0.6361 0.1361 O
0.3667 0.8539 0.3604 O
0.3820 0.6037 0.6024 O
0.3858 0.3858 0.3858 O
0.3963 0.1024 0.1180 O
0.3976 0.8820 0.8963 O
0.6024 0.3820 0.6037 O
0.6037 0.6024 0.3820 O
0.6142 0.8858 0.1142 O
0.6180 0.1037 0.8976 O
0.6333 0.3539 0.1396 O
0.6361 0.1361 0.3639 O
0.6396 0.8667 0.6461 O
0.6461 0.6396 0.8667 O
0.8539 0.3604 0.3667 O
0.8604 0.1333 0.1461 O
0.8639 0.8639 0.8639 O
0.8667 0.6461 0.6396 O
0.8820 0.8963 0.3976 O
0.8858 0.1142 0.6142 O
0.8963 0.3976 0.8820 O
0.8976 0.6180 0.1037 O
```

Starting from a structure optimized by DFT (PBE+U), the PXRD pattern of V2CuP2O14 was calculated for copper Kα.
Peak positions follow from Bragg's law for the DFT cell and can differ from measured ones.

Main lines, low angle first (2θ from 15° to 90°):
2θ = 19.39°, 4.579 Å, intensity 100; 2θ = 19.88°, 4.466 Å, intensity 23; 2θ = 24.82°, 3.587 Å, intensity 50; 2θ = 27.84°, 3.205 Å, intensity 26; 2θ = 28.44°, 3.139 Å, intensity 69; 2θ = 30.34°, 2.946 Å, intensity 41; 2θ = 31.86°, 2.809 Å, intensity 28; 2θ = 41.27°, 2.187 Å, intensity 28

Cell and atoms:
```
V2CuP2O14
1.0
7.2025 0.0000 0.0000
0.0000 8.9311 0.0000
-0.8071 0.0000 8.8240
V Cu P O
4 2 4 28
Direct
0.0820 0.2500 0.0059 V
0.0865 0.7500 0.5075 V
0.9135 0.2500 0.4925 V
0.9180 0.7500 0.9941 V
0.4831 0.7500 0.3316 Cu
0.5169 0.2500 0.6684 Cu
0.0067 0.5018 0.7501 P
0.0067 0.9982 0.7501 P
0.9933 0.0018 0.2499 P
0.9933 0.4982 0.2499 P
0.1225 0.1004 0.1606 O
0.1225 0.3996 0.1606 O
0.1231 0.5967 0.3569 O
0.1231 0.9033 0.3569 O
0.1354 0.0967 0.8599 O
0.1354 0.4033 0.8599 O
0.1360 0.6003 0.6614 O
0.1360 0.8997 0.6614 O
0.1385 0.2500 0.5109 O
0.1410 0.7500 0.0235 O
0.3989 0.7500 0.5066 O
0.4038 0.2500 0.0047 O
0.4850 0.0927 0.7705 O
0.4850 0.4073 0.7705 O
0.5150 0.5927 0.2295 O
0.5150 0.9073 0.2295 O
0.5962 0.7500 0.9953 O
0.6011 0.2500 0.4934 O
0.8590 0.2500 0.9765 O
0.8615 0.7500 0.4891 O
0.8640 0.1003 0.3386 O
0.8640 0.3997 0.3386 O
0.8646 0.5967 0.1401 O
0.8646 0.9033 0.1401 O
0.8769 0.0967 0.6431 O
0.8769 0.4033 0.6431 O
0.8775 0.6004 0.8394 O
0.8775 0.8996 0.8394 O
```

Starting from a structure optimized by DFT (PBE+U), the PXRD pattern of Li4V5Cr3O16 was calculated for copper Kα.
Peak positions follow from Bragg's law for the DFT cell and can differ from measured ones.

Main lines, low angle first (2θ from 15° to 90°):
2θ = 18.54°, 4.785 Å, intensity 100; 2θ = 19.54°, 4.543 Å, intensity 49; 2θ = 19.68°, 4.511 Å, intensity 83; 2θ = 35.46°, 2.531 Å, intensity 33; 2θ = 36.10°, 2.488 Å, intensity 52; 2θ = 39.97°, 2.255 Å, intensity 37; 2θ = 45.13°, 2.009 Å, intensity 34; 2θ = 63.30°, 1.469 Å, intensity 42

Cell and atoms:
```
Li4V5Cr3O16
1.0
5.0656 -2.9824 0.0000
5.0656 2.9824 0.0000
-0.1492 0.0000 9.5696
Li V Cr O
4 5 3 16
Direct
0.0000 0.0000 0.0000 Li
0.0008 0.0008 0.4958 Li
0.3360 0.3360 0.1023 Li
0.6688 0.6688 0.5977 Li
0.1663 0.6624 0.7787 V
0.3358 0.3358 0.5014 V
0.6624 0.1663 0.7787 V
0.6644 0.6644 0.0079 V
0.8277 0.8277 0.2764 V
0.1706 0.1706 0.7803 Cr
0.3426 0.8275 0.2813 Cr
0.8275 0.3426 0.2813 Cr
0.0413 0.4884 0.6543 O
0.1699 0.6666 0.3984 O
0.1743 0.1743 0.4028 O
0.3231 0.8280 0.8898 O
0.3408 0.3408 0.8901 O
0.4796 0.4796 0.6496 O
0.4884 0.0413 0.6543 O
0.5204 0.5204 0.1573 O
0.5240 0.9647 0.1537 O
0.6666 0.1699 0.3984 O
0.6779 0.6779 0.3905 O
0.8280 0.3231 0.8898 O
0.8348 0.8348 0.8861 O
0.9647 0.5240 0.1537 O
0.9958 0.9958 0.1879 O
0.9982 0.9982 0.6811 O
```

Starting from a structure optimized by DFT (PBE+U), the PXRD pattern of Na3VSiBO7 was calculated for copper Kα.
Peak positions follow from Bragg's law for the DFT cell and can differ from measured ones.

Main lines, low angle first (2θ from 15° to 90°):
2θ = 16.67°, 5.319 Å, intensity 46; 2θ = 26.91°, 3.313 Å, intensity 76; 2θ = 33.23°, 2.696 Å, intensity 49; 2θ = 33.54°, 2.672 Å, intensity 100; 2θ = 33.70°, 2.659 Å, intensity 54; 2θ = 34.09°, 2.630 Å, intensity 35; 2θ = 49.28°, 1.849 Å, intensity 31; 2θ = 55.47°, 1.656 Å, intensity 33

Cell and atoms:
```
Na3VSiBO7
1.0
5.3440 0.0000 0.0000
0.0000 6.6257 0.0000
-0.2543 0.0000 8.9184
Na V Si B O
6 2 2 2 14
Direct
0.2352 0.2500 0.0849 Na
0.2538 0.5042 0.7468 Na
0.2538 0.9958 0.7468 Na
0.7462 0.0042 0.2532 Na
0.7462 0.4958 0.2532 Na
0.7648 0.7500 0.9151 Na
0.2114 0.7500 0.3383 V
0.7886 0.2500 0.6617 V
0.2773 0.2500 0.4271 Si
0.7227 0.7500 0.5729 Si
0.2668 0.7500 0.0655 B
0.7332 0.2500 0.9345 B
0.0305 0.7500 0.1281 O
0.1062 0.2500 0.5788 O
0.2098 0.0530 0.3227 O
0.2098 0.4470 0.3227 O
0.3189 0.7500 0.9195 O
0.4264 0.7500 0.5171 O
0.4557 0.7500 0.1827 O
0.5443 0.2500 0.8173 O
0.5736 0.2500 0.4829 O
0.6811 0.2500 0.0805 O
0.7902 0.5530 0.6773 O
0.7902 0.9470 0.6773 O
0.8938 0.7500 0.4212 O
0.9695 0.2500 0.8719 O
```

Starting from a structure optimized by DFT (PBE+U), the PXRD pattern of Li8NbFe3O12 was calculated for copper Kα.
Peak positions follow from Bragg's law for the DFT cell and can differ from measured ones.

Main lines, low angle first (2θ from 15° to 90°):
2θ = 23.83°, 3.734 Å, intensity 100; 2θ = 31.93°, 2.803 Å, intensity 38; 2θ = 35.87°, 2.504 Å, intensity 22; 2θ = 40.46°, 2.229 Å, intensity 18; 2θ = 43.52°, 2.080 Å, intensity 12; 2θ = 48.77°, 1.867 Å, intensity 16; 2θ = 52.26°, 1.751 Å, intensity 48; 2θ = 64.49°, 1.445 Å, intensity 11

Cell and atoms:
```
Li8NbFe3O12
1.0
5.0031 0.0000 0.0000
0.0038 5.6884 0.0000
0.0088 1.2709 7.4733
Li Nb Fe O
8 1 3 12
Direct
0.0000 0.0000 0.0000 Li
0.0021 0.9949 0.4790 Li
0.4938 0.5089 0.9893 Li
0.4980 0.5160 0.4760 Li
0.5010 0.1913 0.8454 Li
0.5046 0.1963 0.3341 Li
0.9925 0.7132 0.8414 Li
0.9962 0.7054 0.3229 Li
0.9994 0.3532 0.6613 Nb
0.4981 0.8531 0.6611 Fe
0.4982 0.8535 0.1609 Fe
0.9988 0.3535 0.1609 Fe
0.1409 0.3558 0.9112 O
0.1722 0.6769 0.5889 O
0.1848 0.0307 0.2320 O
0.3197 0.5419 0.2313 O
0.3233 0.1797 0.5899 O
0.3550 0.8571 0.9177 O
0.6417 0.8501 0.4045 O
0.6748 0.5282 0.7322 O
0.6775 0.1653 0.0909 O
0.8120 0.6764 0.0900 O
0.8243 0.0314 0.7333 O
0.8573 0.3514 0.4109 O
```

Starting from a structure optimized by DFT (PBE+U), the PXRD pattern of Li2CoSnO4 was calculated for copper Kα.
Peak positions follow from Bragg's law for the DFT cell and can differ from measured ones.

Main lines, low angle first (2θ from 15° to 90°):
2θ = 23.26°, 3.824 Å, intensity 100; 2θ = 36.03°, 2.493 Å, intensity 30; 2θ = 36.50°, 2.462 Å, intensity 23; 2θ = 39.62°, 2.275 Å, intensity 22; 2θ = 42.92°, 2.107 Å, intensity 36; 2θ = 49.38°, 1.846 Å, intensity 27; 2θ = 57.57°, 1.601 Å, intensity 13; 2θ = 59.82°, 1.546 Å, intensity 24

Cell and atoms:
```
Li2CoSnO4
1.0
2.9807 -4.5495 0.0000
2.9807 4.5495 0.0000
0.0000 0.0000 5.9600
Li Co Sn O
4 2 2 8
Direct
0.0000 0.0000 0.0000 Li
0.0000 0.5000 0.2495 Li
0.5000 0.0000 0.7505 Li
0.5000 0.5000 0.5000 Li
0.0000 0.5000 0.7488 Co
0.5000 0.0000 0.2512 Co
0.0000 0.0000 0.5000 Sn
0.5000 0.5000 0.0000 Sn
0.2267 0.7733 0.5000 O
0.2427 0.2570 0.7497 O
0.2570 0.2427 0.2503 O
0.2740 0.7260 0.0000 O
0.7260 0.2740 0.0000 O
0.7430 0.7573 0.2503 O
0.7573 0.7430 0.7497 O
0.7733 0.2267 0.5000 O
```

Starting from a structure optimized by DFT (PBE+U), the PXRD pattern of K2CoH2S2O8 was calculated for copper Kα.
Peak positions follow from Bragg's law for the DFT cell and can differ from measured ones.

Main lines, low angle first (2θ from 15° to 90°):
2θ = 15.36°, 5.769 Å, intensity 33; 2θ = 18.90°, 4.695 Å, intensity 40; 2θ = 23.69°, 3.756 Å, intensity 62; 2θ = 26.49°, 3.365 Å, intensity 100; 2θ = 28.93°, 3.086 Å, intensity 40; 2θ = 31.02°, 2.883 Å, intensity 23; 2θ = 32.01°, 2.796 Å, intensity 39; 2θ = 35.60°, 2.522 Å, intensity 23

Cell and atoms:
```
K2CoH2S2O8
1.0
5.1372 0.0000 0.0000
0.0000 13.9951 0.0000
-2.9660 0.0000 6.3324
K Co H S O
4 2 4 4 16
Direct
0.2159 0.1405 0.4152 K
0.2159 0.3595 0.9152 K
0.7841 0.6405 0.0848 K
0.7841 0.8595 0.5848 K
0.5000 0.0000 0.0000 Co
0.5000 0.5000 0.5000 Co
0.4954 0.6035 0.4170 H
0.4954 0.8965 0.9170 H
0.5046 0.1035 0.0830 H
0.5046 0.3965 0.5830 H
0.0731 0.6015 0.7073 S
0.0731 0.8985 0.2073 S
0.9269 0.1015 0.7927 S
0.9269 0.3985 0.2927 S
0.0798 0.1560 0.9900 O
0.0798 0.3440 0.4900 O
0.1319 0.0260 0.7703 O
0.1319 0.4740 0.2703 O
0.1707 0.6623 0.8960 O
0.1707 0.8377 0.3960 O
0.3244 0.5470 0.7080 O
0.3244 0.9530 0.2080 O
0.6756 0.0470 0.7920 O
0.6756 0.4530 0.2920 O
0.8293 0.1623 0.6040 O
0.8293 0.3377 0.1040 O
0.8681 0.5260 0.7297 O
0.8681 0.9740 0.2297 O
0.9202 0.6560 0.5100 O
0.9202 0.8440 0.0100 O
```